# Al3Bi5Cl12
Simulated XRD peak list, copper Kα. Input: a structure optimized by DFT (GGA-PBE).

Structural model:
a b c (Å): 11.9914 11.9914 31.2326
angles (deg): 90.00 90.00 120.00
Space group R-3c (No. 167, hexagonal axes)
Unique sites:
1 Al 0.0000 0.4671 0.2500 x18
2 Bi 0.0000 0.0000 0.1741 x12
3 Bi 0.0000 0.1608 0.7500 x18
4 Cl 0.0074 0.4332 0.6938 x36
5 Cl 0.0571 0.2239 0.9083 x36

Main lines, by angle (2θ = 5–70°):
2θ (°)  d [Å]  Rel. int.  hkl
10.2  8.647  100  0 1 2
14.8  5.996  25  1 1 0
18.0  4.927  18  2 0 2
22.8  3.894  12  2 1 1
26.8  3.323  11  1 2 5
30.3  2.947  16  2 1 7
31.0  2.882  36  0 3 6
31.2  2.868  18  1 3 1
34.5  2.599  30  0 0 12
39.8  2.267  13  2 2 9